Entry 1:
This entry pairs a crystal structure of Ac6Sm5Y2 with its simulated XRD peak list. Radiation: Cu Ka. Structure: a structure optimized by DFT (PBE).
Peak positions follow from Bragg's law for the DFT cell and can differ from measured ones.

Structure:
abc: 11.406 23.927 3.760
angles: 90.00 90.00 90.00
Space group Pbam (No. 55)
One atom of each set of equivalent atoms:
Ac 0.021 0.113 0.000 (multiplicity 4)
Ac 0.146 0.386 0.000 (multiplicity 4)
Ac 0.165 0.633 0.500 (multiplicity 4)
Sm 0.000 0.500 0.500 (multiplicity 2)
Sm 0.086 0.250 0.500 (multiplicity 4)
Sm 0.164 0.996 0.500 (multiplicity 4)
Y 0.164 0.767 0.000 (multiplicity 4)

Principal peaks in the range 2θ = 10–90°, in order of falling intensity:
| 2θ/deg | I/Imax | (hkl) |
| --- | --- | --- |
| 25.99 | 100.0 | 3 3 0 |
| 30.60 | 70.9 | 2 3 1 |
| 30.02 | 67.3 | 3 5 0 |
| 29.87 | 60.4 | 0 8 0 |
| 57.98 | 40.5 | 0 8 2 |
| 33.72 | 39.4 | 3 1 1 |
| 34.16 | 36.8 | 2 5 1 |
| 28.03 | 35.0 | 0 4 1 |
| 32.21 | 28.4 | 2 4 1 |
| 47.22 | 21.7 | 5 2 1 |
| 48.41 | 20.6 | 0 0 2 |
| 48.26 | 19.0 | 3 9 1 |



Entry 2:
This entry pairs a crystal structure of PuInCu with its simulated XRD peak list. Radiation: Cu Ka. Structure: a structure optimized by DFT (PBE).
Peak positions follow from Bragg's law for the DFT cell and can differ from measured ones.

Structure:
abc: 3.181 3.181 12.380
angles: 90.00 90.00 90.00
Space group I4mm (No. 107)
One atom of each set of equivalent atoms:
Pu 0.000 0.000 0.000 (multiplicity 2)
In 0.000 0.000 0.296 (multiplicity 2)
Cu 0.000 0.000 0.664 (multiplicity 2)

Principal peaks in the range 2θ = 10–90°, in order of falling intensity:
| 2θ/deg | I/Imax | (hkl) |
| --- | --- | --- |
| 35.64 | 100.0 | 1 0 3 |
| 40.09 | 39.9 | 1 1 0 |
| 28.98 | 31.5 | 1 0 1 |
| 69.95 | 27.8 | 2 1 3 |
| 28.85 | 16.5 | 0 0 4 |
| 60.93 | 15.6 | 1 1 6 |
| 50.14 | 14.9 | 1 1 4 |
| 59.83 | 14.1 | 1 0 7 |
| 66.08 | 13.5 | 2 0 4 |
| 14.31 | 13.5 | 0 0 2 |
| 57.99 | 13.5 | 2 0 0 |
| 88.12 | 11.2 | 2 1 7 |



Entry 3:
This entry pairs a crystal structure of LiZnGaHg with its simulated XRD peak list. Radiation: Cu Ka. Structure: a structure optimized by DFT (PBE).
Peak positions follow from Bragg's law for the DFT cell and can differ from measured ones.

Structure:
abc: 6.560 6.560 6.560
angles: 90.00 90.00 90.00
Space group F-43m (No. 216)
One atom of each set of equivalent atoms:
Li 0.000 0.000 0.000 (multiplicity 4)
Zn 0.000 0.000 0.500 (multiplicity 4)
Ga 0.250 0.250 0.750 (multiplicity 4)
Hg 0.250 0.250 0.250 (multiplicity 4)

Principal peaks in the range 2θ = 10–90°, in order of falling intensity:
| 2θ/deg | I/Imax | (hkl) |
| --- | --- | --- |
| 38.83 | 100.0 | 2 2 0 |
| 27.19 | 39.8 | 2 0 0 |
| 23.49 | 39.6 | 1 1 1 |
| 70.30 | 34.4 | 4 2 2 |
| 45.88 | 21.2 | 3 1 1 |
| 56.08 | 17.0 | 4 0 0 |
| 63.41 | 15.6 | 4 2 0 |
| 48.05 | 11.7 | 2 2 2 |
| 83.33 | 11.0 | 4 4 0 |
| 61.63 | 8.9 | 3 3 1 |
| 89.68 | 8.4 | 6 0 0 |
| 88.10 | 7.4 | 5 3 1 |